This entry pairs a crystal structure of Rb2NaNdCl6 with its calculated X-ray powder pattern. Radiation: copper Kα. Structure: a crystal structure in the Materials Project, relaxed with PBE.

Crystal structure
Lattice parameters (Å, degrees): 10.986 10.986 10.986 90.00 90.00 90.00
Space group Fm-3m (No. 225)
Asymmetric unit:
Rb  0.250  0.250  0.250 (multiplicity 8)
Na  0.000  0.000  0.000 (multiplicity 4)
Nd  0.000  0.000  0.500 (multiplicity 4)
Cl  0.000  0.000  0.252 (multiplicity 24)

Largest 10 diffraction maxima, by intensity, 15° ≤ 2θ ≤ 90°:
| 2theta | d (Å) | Rel. int. | h k l |
| --- | --- | --- | --- |
| 22.90 | 3.884 | 100 | 2 2 0 |
| 32.60 | 2.746 | 89 | 4 0 0 |
| 46.78 | 1.942 | 60 | 4 4 0 |
| 40.22 | 2.242 | 47 | 4 2 2 |
| 28.14 | 3.171 | 29 | 2 2 2 |
| 26.92 | 3.312 | 26 | 3 1 1 |
| 77.76 | 1.228 | 26 | 8 4 0 |
| 63.36 | 1.468 | 25 | 6 4 2 |
| 52.70 | 1.737 | 22 | 6 2 0 |
| 58.18 | 1.586 | 20 | 4 4 4 |

=====

This entry pairs a crystal structure of Na9ZrP4ClO16 with its calculated X-ray powder pattern. Radiation: copper Kα. Structure: a crystal structure in the Materials Project, relaxed with PBE.

Crystal structure
Lattice parameters (Å, degrees): 5.440 9.168 9.266 111.08 91.88 90.30
Space group P1 (No. 1)
Asymmetric unit:
Na  0.000  0.000  0.000 (multiplicity 1)
Na  0.003  0.610  0.586 (multiplicity 1)
Na  0.368  0.152  0.792 (multiplicity 1)
Na  0.404  0.533  0.018 (multiplicity 1)
Na  0.464  0.674  0.414 (multiplicity 1)
Na  0.475  0.253  0.194 (multiplicity 1)
Na  0.484  0.816  0.824 (multiplicity 1)
Na  0.870  0.348  0.837 (multiplicity 1)
Na  0.918  0.744  0.255 (multiplicity 1)
Zr  0.961  0.171  0.424 (multiplicity 1)
P  0.434  0.935  0.225 (multiplicity 1)
P  0.481  0.414  0.611 (multiplicity 1)
P  0.912  0.960  0.668 (multiplicity 1)
P  0.982  0.383  0.168 (multiplicity 1)
Cl  0.953  0.671  0.923 (multiplicity 1)
O  0.108  0.523  0.297 (multiplicity 1)
O  0.149  0.317  0.027 (multiplicity 1)
O  0.152  0.919  0.737 (multiplicity 1)
O  0.173  0.978  0.299 (multiplicity 1)
O  0.288  0.306  0.488 (multiplicity 1)
O  0.430  0.974  0.077 (multiplicity 1)
O  0.437  0.583  0.622 (multiplicity 1)
O  0.464  0.385  0.763 (multiplicity 1)
O  0.485  0.766  0.208 (multiplicity 1)
O  0.637  0.044  0.339 (multiplicity 1)
O  0.723  0.022  0.796 (multiplicity 1)
O  0.724  0.425  0.121 (multiplicity 1)
O  0.747  0.368  0.547 (multiplicity 1)
O  0.817  0.822  0.526 (multiplicity 1)
O  0.942  0.241  0.228 (multiplicity 1)
O  0.981  0.108  0.620 (multiplicity 1)

Largest 10 diffraction maxima, by intensity, 15° ≤ 2θ ≤ 90°:
| 2theta | d (Å) | Rel. int. | h k l |
| --- | --- | --- | --- |
| 32.93 | 2.720 | 100 | 2 0 0 |
| 23.24 | 3.827 | 58 | -1 1 1 |
| 33.75 | 2.655 | 57 | 1 3 -1 |
| 30.54 | 2.927 | 54 | 0 2 -3 |
| 33.56 | 2.670 | 48 | 1 -3 1 |
| 24.05 | 3.701 | 44 | 1 1 1 |
| 28.93 | 3.086 | 35 | 0 1 -3 |
| 23.42 | 3.799 | 29 | 0 2 -2 |
| 33.87 | 2.646 | 28 | 1 -1 3 |
| 19.40 | 4.575 | 26 | 0 1 -2 |

=====

This entry pairs a crystal structure of Na3Pb2S3ClO12 with its calculated X-ray powder pattern. Radiation: copper Kα. Structure: a crystal structure in the Materials Project, relaxed with PBE.

Crystal structure
Lattice parameters (Å, degrees): 9.963 7.179 10.018 90.00 119.82 90.00
Space group P2_1/m (No. 11)
Asymmetric unit:
Na  0.160  0.003  0.325 (multiplicity 4)
Na  0.237  0.250  0.997 (multiplicity 2)
Pb  0.242  0.750  0.747 (multiplicity 2)
Pb  0.489  0.750  0.241 (multiplicity 2)
S  0.087  0.250  0.618 (multiplicity 2)
S  0.123  0.750  0.035 (multiplicity 2)
S  0.467  0.750  0.587 (multiplicity 2)
Cl  0.500  0.000  0.000 (multiplicity 2)
O  0.019  0.750  0.866 (multiplicity 2)
O  0.034  0.750  0.118 (multiplicity 2)
O  0.088  0.750  0.464 (multiplicity 2)
O  0.141  0.250  0.505 (multiplicity 2)
O  0.142  0.083  0.720 (multiplicity 4)
O  0.228  0.582  0.085 (multiplicity 4)
O  0.366  0.250  0.355 (multiplicity 2)
O  0.377  0.750  0.414 (multiplicity 2)
O  0.417  0.583  0.642 (multiplicity 4)

Largest 10 diffraction maxima, by intensity, 15° ≤ 2θ ≤ 90°:
| 2theta | d (Å) | Rel. int. | h k l |
| --- | --- | --- | --- |
| 29.97 | 2.981 | 100 | 2 1 1 |
| 16.05 | 5.523 | 55 | 1 1 0 |
| 21.70 | 4.096 | 38 | 2 1 -1 |
| 24.80 | 3.590 | 35 | 0 2 0 |
| 30.65 | 2.917 | 32 | 1 2 -2 |
| 47.02 | 1.933 | 30 | 2 3 1 |
| 41.84 | 2.159 | 27 | 2 3 -1 |
| 17.71 | 5.008 | 23 | 1 0 -2 |
| 47.38 | 1.919 | 22 | 2 1 3 |
| 30.09 | 2.970 | 22 | 3 1 -2 |

=====

This entry pairs a crystal structure of Na5S3ClO12 with its calculated X-ray powder pattern. Radiation: copper Kα. Structure: a crystal structure in the Materials Project, relaxed with PBE.

Crystal structure
Lattice parameters (Å, degrees): 9.9055 9.9055 6.7879 90.00 90.00 120.00
Space group P6_3/m (No. 176)
Asymmetric unit:
Na  0.0028  0.7448  0.2500 (multiplicity 6)
Na  0.3333  0.6667  0.5105 (multiplicity 4)
S  0.0310  0.4106  0.2500 (multiplicity 6)
Cl  0.0000  0.0000  0.0000 (multiplicity 2)
O  0.0796  0.3557  0.0734 (multiplicity 12)
O  0.1224  0.5850  0.2500 (multiplicity 6)
O  0.1380  0.6457  0.7500 (multiplicity 6)

Largest 10 diffraction maxima, by intensity, 15° ≤ 2θ ≤ 90°:
| 2theta | d (Å) | Rel. int. | h k l |
| --- | --- | --- | --- |
| 30.56 | 2.926 | 100 | 2 1 1 |
| 31.28 | 2.859 | 77 | 3 0 0 |
| 31.97 | 2.800 | 68 | 1 1 2 |
| 22.22 | 4.001 | 55 | 1 1 1 |
| 45.33 | 2.001 | 39 | 2 2 2 |
| 37.81 | 2.379 | 27 | 1 3 0 |
| 49.10 | 1.856 | 26 | 2 1 3 |
| 26.26 | 3.394 | 22 | 0 0 2 |
| 38.40 | 2.344 | 20 | 1 2 2 |
| 20.71 | 4.289 | 18 | 2 0 0 |

=====

Q: Which formula does entry 1 have?
A: Rb2NaNdCl6

=====

Q: Number 2 is which compound?
A: Na9ZrP4ClO16

=====

Q: Number 2 is which compound?
A: Na9ZrP4ClO16